The following is a computed powder XRD pattern of K4NiP6O25. It was derived from a structure optimized by DFT (PBE+U), using Cu Kα (λ = 1.5418 Å).
No peak broadening, texture or thermal motion is included.

Crystal structure
Cell lengths 13.134, 7.362, 12.543 Å; angles 77.80, 33.22, 68.98 degrees
Fractional positions:
K 0.112 0.888 0.112
K 0.417 0.417 0.083
K 0.888 0.112 0.888
K 0.917 0.917 0.583
Ni 0.384 0.384 0.616
P 0.007 0.411 0.252
P 0.411 0.007 0.330
P 0.426 0.893 0.107
P 0.670 0.748 0.589
P 0.748 0.670 0.993
P 0.893 0.426 0.574
O 0.034 0.522 0.478
O 0.130 0.466 0.870
O 0.183 0.478 0.097
O 0.276 0.999 0.539
O 0.287 0.831 0.169
O 0.310 0.644 0.690
O 0.311 0.974 0.311
O 0.319 0.486 0.514
O 0.461 0.814 0.724
O 0.466 0.130 0.534
O 0.478 0.183 0.243
O 0.486 0.319 0.681
O 0.522 0.034 0.966
O 0.596 0.689 0.026
O 0.607 0.811 0.189
O 0.644 0.310 0.356
O 0.689 0.596 0.689
O 0.757 0.903 0.522
O 0.811 0.607 0.393
O 0.814 0.461 0.001
O 0.831 0.287 0.713
O 0.903 0.757 0.817
O 0.905 0.905 0.095
O 0.974 0.311 0.404
O 0.999 0.276 0.186

Principal peaks in the range 10° ≤ 2θ ≤ 80°, by intensity:
two_theta, I (rel.)
16.9, 100
26.3, 53
25.1, 40
29.5, 34
30.5, 34
21.4, 30
22.7, 25
42.9, 13
27.4, 13
46.4, 12